Record 1
Theoretical powder X-ray diffraction pattern of Tb3Sc7Ir4 for Cu Kα (weighted mean of Kα1 and Kα2), from DFT lattice parameters and positions (GGA-PBE).
No peak broadening, texture or thermal motion is included.

Main lines, most intense first (10 to 90 degrees two-theta):
2θ (°), d/Å, I/Imax, hkl
39.8, 2.265, 100, 5 1 0
33.9, 2.642, 89, 5 1 -2
40.5, 2.226, 71, 0 2 0
32.6, 2.745, 58, 1 1 2
28.6, 3.124, 56, 3 1 0
25.3, 3.520, 53, 1 1 1
32.3, 2.769, 53, 3 1 -3
20.9, 4.259, 43, 0 0 2
33.5, 2.674, 37, 6 0 -3
31.1, 2.876, 37, 2 0 2
34.5, 2.597, 31, 3 1 1
27.3, 3.270, 31, 3 1 -2

Structural model:
```
data_Tb3Sc7Ir4
_cell_length_a 16.417
_cell_length_b 4.452
_cell_length_c 10.629
_cell_angle_alpha 90.00
_cell_angle_beta 126.73
_cell_angle_gamma 90.00
_symmetry_space_group_name_H-M 'C 1 2/m 1'
_symmetry_Int_Tables_number 12
loop_
_symmetry_equiv_pos_as_xyz
'x,y,z'
'-x,-y,-z'
'-x,y,-z'
'x,-y,z'
'x+1/2,y+1/2,z'
'-x+1/2,-y+1/2,-z'
'-x+1/2,y+1/2,-z'
'x+1/2,-y+1/2,z'
loop_
_atom_site_label
_atom_site_type_symbol
_atom_site_fract_x
_atom_site_fract_y
_atom_site_fract_z
Tb1 Tb 0.000 0.000 0.000
Tb2 Tb 0.195 0.500 0.701
Sc1 Sc 0.000 0.000 0.500
Sc2 Sc 0.010 0.500 0.288
Sc3 Sc 0.166 0.000 0.418
Sc4 Sc 0.193 0.500 0.029
Ir1 Ir 0.103 0.000 0.840
Ir2 Ir 0.178 0.500 0.280
```

***

Record 2
Theoretical powder X-ray diffraction pattern of Cr2Fe2Rh7 for Cu Kα (weighted mean of Kα1 and Kα2), from DFT lattice parameters and positions (GGA-PBE).
No peak broadening, texture or thermal motion is included.

Main lines, most intense first (10 to 90 degrees two-theta):
2θ (°), d/Å, I/Imax, hkl
44.2, 2.049, 100, 1 3 1
41.7, 2.167, 36, 4 0 0
39.1, 2.303, 28, 2 0 -2
20.5, 4.333, 23, 2 0 0
74.4, 1.275, 19, 5 3 -3
44.6, 2.034, 17, 0 0 2
38.7, 2.326, 16, 1 3 -1
77.8, 1.227, 16, 5 3 1
58.5, 1.578, 15, 2 0 2
31.2, 2.867, 12, 0 2 1
42.1, 2.146, 10, 3 1 -2
58.2, 1.585, 9, 5 3 -1

Structural model:
```
data_Cr2Fe2Rh7
_cell_length_a 9.809
_cell_length_b 8.083
_cell_length_c 4.606
_cell_angle_alpha 90.00
_cell_angle_beta 117.92
_cell_angle_gamma 90.00
_symmetry_space_group_name_H-M 'C 1 2/m 1'
_symmetry_Int_Tables_number 12
loop_
_symmetry_equiv_pos_as_xyz
'x,y,z'
'-x,-y,-z'
'-x,y,-z'
'x,-y,z'
'x+1/2,y+1/2,z'
'-x+1/2,-y+1/2,-z'
'-x+1/2,y+1/2,-z'
'x+1/2,-y+1/2,z'
loop_
_atom_site_label
_atom_site_type_symbol
_atom_site_fract_x
_atom_site_fract_y
_atom_site_fract_z
Cr1 Cr 0.000 0.000 0.242
Fe1 Fe 0.000 0.328 0.000
Rh1 Rh 0.000 0.500 0.500
Rh2 Rh 0.235 0.162 0.236
Rh3 Rh 0.247 0.500 0.247
```

***

Record 3
Theoretical powder X-ray diffraction pattern of CePr6Y12 for Cu Kα (weighted mean of Kα1 and Kα2), from DFT lattice parameters and positions (GGA-PBE).
No peak broadening, texture or thermal motion is included.

Main lines, most intense first (10 to 90 degrees two-theta):
2θ (°), d/Å, I/Imax, hkl
31.5, 2.843, 100, 4 0 1
31.3, 2.855, 72, 0 3 3
31.1, 2.880, 59, 3 1 2
29.3, 3.043, 58, 1 0 4
34.2, 2.619, 52, 3 2 1
34.1, 2.629, 46, 2 2 3
33.9, 2.648, 37, 0 4 2
10.3, 8.565, 36, 1 0 1
28.5, 3.136, 35, 1 3 1
56.1, 1.639, 30, 4 3 4
32.3, 2.773, 29, 0 2 4
54.5, 1.685, 25, 4 4 0

Structural model:
```
data_CePr6Y12
_cell_length_a 13.4777
_cell_length_b 13.4777
_cell_length_c 12.6085
_cell_angle_alpha 90.00
_cell_angle_beta 90.00
_cell_angle_gamma 120.00
_symmetry_space_group_name_H-M 'R -3 m'
_symmetry_Int_Tables_number 166
_symmetry_space_group_name_Hall '-R 3 2"'
loop_
_atom_site_label
_atom_site_type_symbol
_atom_site_fract_x
_atom_site_fract_y
_atom_site_fract_z
Ce1 Ce 0.0000 0.0000 0.0000
Pr1 Pr 0.0410 0.5205 0.6188
Y1 Y 0.0000 0.2563 0.5000
Y2 Y 0.0908 0.1815 0.2605
```

***

Record 4
Theoretical powder X-ray diffraction pattern of KNF for Cu Kα (weighted mean of Kα1 and Kα2), from DFT lattice parameters and positions (GGA-PBE).
No peak broadening, texture or thermal motion is included.

Main lines, most intense first (10 to 90 degrees two-theta):
2θ (°), d/Å, I/Imax, hkl
33.9, 2.645, 100, 0 1 2
28.1, 3.173, 91, 3 0 0
34.8, 2.579, 40, 1 1 -2
43.5, 2.080, 34, 3 1 -2
45.7, 1.986, 31, 3 1 2
26.2, 3.399, 27, 1 0 2
50.4, 1.811, 24, 4 1 -2
37.8, 2.379, 21, 4 0 0
35.7, 2.518, 19, 1 1 2
25.5, 3.488, 18, 1 1 0
53.0, 1.729, 17, 4 1 2
49.6, 1.839, 16, 1 2 0

Structural model:
```
data_KNF
_cell_length_a 9.538
_cell_length_b 3.749
_cell_length_c 7.479
_cell_angle_alpha 90.00
_cell_angle_beta 93.78
_cell_angle_gamma 90.00
_symmetry_space_group_name_H-M 'P 1 21/c 1'
_symmetry_Int_Tables_number 14
loop_
_symmetry_equiv_pos_as_xyz
'x,y,z'
'-x,-y,-z'
'-x,y+1/2,-z+1/2'
'x,-y+1/2,z+1/2'
loop_
_atom_site_label
_atom_site_type_symbol
_atom_site_fract_x
_atom_site_fract_y
_atom_site_fract_z
K1 K 0.143 0.249 0.137
N1 N 0.459 0.060 0.541
F1 F 0.140 0.750 0.386
```